[1]
Theoretical PXRD pattern of Cr4OF11 for Cu Kα, 1.54184 Å, from a DFT-relaxed cell (PBE+U, the Materials Project).
No peak broadening, texture or thermal motion is included.

Top 6 peaks for 2θ from 10° to 90°, sorted by position:
2θ (°), intensity
24.1, 100.0
24.3, 49.9
33.5, 20.2
49.3, 18.0
54.4, 21.0
54.7, 13.0

Structural model:
```
Cr4OF11
1.0
5.102 0.000 0.000
-2.523 4.702 0.000
-0.049 -2.656 8.369
Cr O F
4 1 11
direct
0.000 0.000 0.000 Cr
0.248 0.478 0.762 Cr
0.499 0.982 0.509 Cr
0.751 0.486 0.256 Cr
0.998 0.222 0.889 O
0.065 0.734 0.828 F
0.066 0.732 0.440 F
0.430 0.232 0.072 F
0.433 0.229 0.693 F
0.492 0.730 0.634 F
0.509 0.235 0.382 F
0.565 0.734 0.323 F
0.568 0.731 0.945 F
0.932 0.230 0.577 F
0.934 0.230 0.191 F
0.991 0.739 0.130 F
```

---

[2]
Theoretical PXRD pattern of Cr4OF11 for Cu Kα, 1.54184 Å, from a DFT-relaxed cell (PBE+U, the Materials Project).
No peak broadening, texture or thermal motion is included.

Top 6 peaks for 2θ from 10° to 90°, sorted by position:
2θ (°), intensity
24.1, 50.4
24.3, 100.0
33.6, 20.9
41.0, 24.1
49.8, 16.5
54.9, 27.1

Structural model:
```
Cr4OF11
1.0
5.076 0.000 0.000
2.518 4.692 0.000
2.446 -0.725 16.681
Cr O F
8 2 22
direct
0.000 0.000 0.000 Cr
0.000 0.489 0.500 Cr
0.252 0.374 0.126 Cr
0.254 0.862 0.626 Cr
0.506 0.225 0.754 Cr
0.507 0.754 0.255 Cr
0.741 0.637 0.872 Cr
0.742 0.107 0.373 Cr
0.502 0.930 0.813 O
0.564 0.900 0.344 O
0.004 0.684 0.063 F
0.005 0.177 0.563 F
0.064 0.648 0.593 F
0.066 0.153 0.094 F
0.067 0.460 0.783 F
0.067 0.962 0.282 F
0.436 0.276 0.467 F
0.436 0.591 0.161 F
0.437 0.779 0.967 F
0.439 0.085 0.658 F
0.493 0.550 0.690 F
0.503 0.057 0.188 F
0.504 0.431 0.313 F
0.564 0.213 0.033 F
0.565 0.710 0.533 F
0.566 0.400 0.844 F
0.931 0.331 0.407 F
0.937 0.526 0.219 F
0.938 0.025 0.719 F
0.940 0.838 0.906 F
0.988 0.314 0.936 F
0.996 0.806 0.437 F
```

---

[3]
Theoretical PXRD pattern of Cr4OF11 for Cu Kα, 1.54184 Å, from a DFT-relaxed cell (PBE+U, the Materials Project).
No peak broadening, texture or thermal motion is included.

Top 6 peaks for 2θ from 10° to 90°, sorted by position:
2θ (°), intensity
24.1, 50.2
24.3, 100.0
33.6, 20.5
40.9, 23.5
49.7, 16.8
54.8, 13.5

Structural model:
```
Cr4OF11
1.0
5.069 0.000 0.000
2.524 4.715 0.000
2.504 0.883 16.710
Cr O F
8 2 22
direct
0.000 0.000 0.000 Cr
0.106 0.125 0.623 Cr
0.251 0.244 0.251 Cr
0.383 0.382 0.873 Cr
0.519 0.482 0.505 Cr
0.625 0.622 0.126 Cr
0.734 0.738 0.755 Cr
0.878 0.867 0.377 Cr
0.592 0.588 0.844 O
0.903 0.276 0.534 O
0.068 0.686 0.937 F
0.093 0.088 0.344 F
0.110 0.705 0.469 F
0.148 0.527 0.782 F
0.163 0.157 0.908 F
0.181 0.557 0.314 F
0.316 0.933 0.188 F
0.342 0.332 0.595 F
0.346 0.963 0.716 F
0.402 0.778 0.033 F
0.408 0.402 0.158 F
0.428 0.807 0.564 F
0.570 0.183 0.439 F
0.595 0.216 0.968 F
0.655 0.026 0.284 F
0.656 0.653 0.411 F
0.679 0.059 0.813 F
0.811 0.432 0.689 F
0.842 0.843 0.094 F
0.846 0.459 0.219 F
0.905 0.899 0.661 F
0.933 0.312 0.063 F
```

---

[4]
Theoretical PXRD pattern of Cr4OF11 for Cu Kα, 1.54184 Å, from a DFT-relaxed cell (PBE+U, the Materials Project).
No peak broadening, texture or thermal motion is included.

Top 6 peaks for 2θ from 10° to 90°, sorted by position:
2θ (°), intensity
24.1, 100.0
24.5, 49.0
33.7, 20.8
40.8, 23.7
49.4, 17.8
54.5, 14.0

Structural model:
```
Cr4OF11
1.0
5.097 0.000 0.000
2.542 4.679 0.000
2.533 0.565 16.687
Cr O F
8 2 22
direct
0.000 0.000 0.000 Cr
0.096 0.168 0.634 Cr
0.232 0.272 0.254 Cr
0.351 0.409 0.882 Cr
0.476 0.528 0.505 Cr
0.611 0.641 0.128 Cr
0.739 0.761 0.752 Cr
0.855 0.898 0.380 Cr
0.037 0.462 0.693 O
0.296 0.706 0.942 O
0.012 0.424 0.161 F
0.015 0.054 0.287 F
0.174 0.840 0.570 F
0.200 0.237 0.971 F
0.208 0.866 0.095 F
0.257 0.309 0.538 F
0.260 0.681 0.411 F
0.434 0.086 0.817 F
0.444 0.495 0.221 F
0.452 0.117 0.347 F
0.505 0.934 0.662 F
0.510 0.555 0.787 F
0.544 0.960 0.190 F
0.687 0.324 0.065 F
0.701 0.365 0.597 F
0.701 0.740 0.473 F
0.759 0.175 0.912 F
0.770 0.798 0.035 F
0.789 0.211 0.443 F
0.917 0.587 0.316 F
0.943 0.994 0.722 F
0.952 0.616 0.847 F
```

---

[5]
Theoretical PXRD pattern of Cr4O3F9 for Cu Kα, 1.54184 Å, from a DFT-relaxed cell (PBE+U, the Materials Project).
No peak broadening, texture or thermal motion is included.

Top 6 peaks for 2θ from 10° to 90°, sorted by position:
2θ (°), intensity
24.0, 100.0
24.3, 97.7
24.7, 99.8
33.6, 19.4
40.6, 21.2
49.1, 19.6

Structural model:
```
Cr4O3F9
1.0
5.033 0.000 0.000
2.479 4.691 0.000
0.070 2.942 8.318
Cr O F
4 3 9
direct
0.000 0.000 0.000 Cr
0.224 0.501 0.744 Cr
0.525 0.984 0.507 Cr
0.766 0.505 0.249 Cr
0.077 0.236 0.838 O
0.934 0.762 0.161 O
0.944 0.737 0.567 O
0.001 0.754 0.872 F
0.004 0.240 0.129 F
0.080 0.244 0.435 F
0.437 0.739 0.689 F
0.439 0.744 0.065 F
0.495 0.245 0.628 F
0.518 0.746 0.376 F
0.567 0.254 0.931 F
0.575 0.251 0.318 F
```

---

[6]
Theoretical PXRD pattern of CrOF4 for Cu Kα, 1.54184 Å, from a DFT-relaxed cell (PBE+U, the Materials Project).
No peak broadening, texture or thermal motion is included.

Top 6 peaks for 2θ from 10° to 90°, sorted by position:
2θ (°), intensity
15.2, 38.8
21.0, 46.0
22.0, 100.0
22.2, 74.0
27.2, 16.6
39.0, 23.4

Structural model:
```
CrOF4
1.0
5.548 0.000 0.000
0.000 16.888 0.000
-0.121 0.000 8.062
Cr O F
8 8 32
direct
0.231 0.142 0.009 Cr
0.231 0.358 0.509 Cr
0.249 0.611 0.092 Cr
0.249 0.889 0.592 Cr
0.751 0.111 0.408 Cr
0.751 0.389 0.908 Cr
0.769 0.642 0.491 Cr
0.769 0.858 0.991 Cr
0.064 0.136 0.852 O
0.064 0.364 0.352 O
0.401 0.579 0.945 O
0.401 0.921 0.445 O
0.599 0.079 0.555 O
0.599 0.421 0.055 O
0.936 0.636 0.648 O
0.936 0.864 0.148 O
0.018 0.160 0.169 F
0.018 0.340 0.669 F
0.047 0.089 0.472 F
0.047 0.411 0.972 F
0.190 0.710 0.038 F
0.190 0.790 0.538 F
0.236 0.530 0.229 F
0.236 0.970 0.729 F
0.246 0.045 0.085 F
0.246 0.455 0.585 F
0.303 0.243 0.030 F
0.303 0.257 0.530 F
0.475 0.651 0.229 F
0.475 0.849 0.729 F
0.481 0.628 0.574 F
0.481 0.872 0.074 F
0.519 0.128 0.926 F
0.519 0.372 0.426 F
0.525 0.151 0.271 F
0.525 0.349 0.771 F
0.697 0.743 0.470 F
0.697 0.757 0.970 F
0.754 0.545 0.415 F
0.754 0.955 0.915 F
0.764 0.030 0.271 F
0.764 0.470 0.771 F
0.810 0.210 0.462 F
0.810 0.290 0.962 F
0.953 0.589 0.028 F
0.953 0.911 0.528 F
0.982 0.660 0.331 F
0.982 0.840 0.831 F
```

---

[7]
Theoretical PXRD pattern of Cr2OF2 for Cu Kα, 1.54184 Å, from a DFT-relaxed cell (PBE+U, the Materials Project).
No peak broadening, texture or thermal motion is included.

Top 6 peaks for 2θ from 10° to 90°, sorted by position:
2θ (°), intensity
16.8, 100.0
28.8, 10.7
33.9, 42.4
34.1, 12.4
41.7, 16.1
54.6, 20.5

Structural model:
```
Cr2OF2
1.0
-3.028 3.028 5.416
3.028 -3.028 5.416
3.028 3.028 -5.416
Cr O F
4 2 4
direct
0.000 0.000 0.000 Cr
0.000 0.000 0.500 Cr
0.000 0.500 0.000 Cr
0.500 0.000 0.500 Cr
0.125 0.875 0.250 O
0.875 0.125 0.750 O
0.123 0.373 0.750 F
0.373 0.123 0.250 F
0.627 0.877 0.750 F
0.877 0.627 0.250 F
```

---

[8]
Theoretical PXRD pattern of Cr4OF11 for Cu Kα, 1.54184 Å, from a DFT-relaxed cell (PBE+U, the Materials Project).
No peak broadening, texture or thermal motion is included.

Top 6 peaks for 2θ from 10° to 90°, sorted by position:
2θ (°), intensity
24.1, 100.0
24.4, 49.3
33.7, 20.8
40.7, 23.9
49.3, 17.7
54.5, 14.0

Structural model:
```
Cr4OF11
1.0
5.064 0.000 0.000
2.498 4.712 0.000
2.340 -0.895 16.721
Cr O F
8 2 22
direct
0.000 0.000 0.000 Cr
0.000 0.500 0.500 Cr
0.251 0.378 0.126 Cr
0.255 0.884 0.629 Cr
0.492 0.239 0.747 Cr
0.508 0.761 0.253 Cr
0.745 0.116 0.371 Cr
0.749 0.622 0.874 Cr
0.313 0.032 0.718 O
0.687 0.968 0.282 O
0.184 0.719 0.535 F
0.184 0.908 0.343 F
0.186 0.409 0.841 F
0.187 0.220 0.032 F
0.245 0.689 0.063 F
0.248 0.187 0.562 F
0.256 0.563 0.687 F
0.257 0.062 0.188 F
0.314 0.841 0.907 F
0.315 0.343 0.407 F
0.318 0.538 0.219 F
0.682 0.462 0.781 F
0.685 0.657 0.593 F
0.686 0.159 0.093 F
0.743 0.938 0.812 F
0.744 0.437 0.313 F
0.752 0.813 0.438 F
0.755 0.311 0.937 F
0.813 0.780 0.968 F
0.814 0.591 0.159 F
0.816 0.092 0.657 F
0.816 0.281 0.465 F
```

---

[9]
Theoretical PXRD pattern of Cr4OF11 for Cu Kα, 1.54184 Å, from a DFT-relaxed cell (PBE+U, the Materials Project).
No peak broadening, texture or thermal motion is included.

Top 6 peaks for 2θ from 10° to 90°, sorted by position:
2θ (°), intensity
24.0, 50.4
24.2, 100.0
33.6, 31.1
40.9, 23.8
49.6, 16.7
54.7, 27.1

Structural model:
```
Cr4OF11
1.0
5.096 0.000 0.000
2.532 4.704 0.000
2.445 -0.735 16.740
Cr O F
8 2 22
direct
0.000 0.000 0.000 Cr
0.000 0.490 0.500 Cr
0.253 0.863 0.625 Cr
0.258 0.380 0.128 Cr
0.493 0.733 0.246 Cr
0.505 0.225 0.753 Cr
0.741 0.636 0.871 Cr
0.748 0.114 0.374 Cr
0.435 0.586 0.157 O
0.503 0.930 0.812 O
0.004 0.178 0.563 F
0.006 0.682 0.063 F
0.063 0.649 0.593 F
0.064 0.961 0.281 F
0.066 0.460 0.782 F
0.070 0.156 0.093 F
0.436 0.274 0.467 F
0.436 0.777 0.966 F
0.437 0.085 0.658 F
0.492 0.549 0.689 F
0.495 0.055 0.188 F
0.499 0.430 0.312 F
0.565 0.210 0.033 F
0.565 0.710 0.532 F
0.565 0.897 0.339 F
0.566 0.400 0.843 F
0.933 0.525 0.218 F
0.934 0.334 0.407 F
0.937 0.025 0.718 F
0.937 0.837 0.907 F
0.987 0.312 0.936 F
0.997 0.804 0.437 F
```